Record 1
The following is a simulated PXRD pattern of Nd3Te3C. It was derived from a structure optimized by DFT (PBE), using Cu Kα, 1.54184 Å.
Neutral-atom scattering factors, no anomalous dispersion.

Principal peaks in the range 2θ = 10–90°, by angle:
| two_theta | I_rel |
| --- | --- |
| 26.6 | 100 |
| 31.3 | 40 |
| 32.3 | 31 |
| 34.5 | 25 |
| 35.2 | 28 |
| 39.5 | 15 |

Structure:
Unit cell a=7.849 b=7.849 c=7.843 alpha=96.23 beta=96.23 gamma=113.21
Sites, in units of the cell vectors:
Nd: 0.100 0.100 0.326
Nd: 0.135 0.432 0.769
Nd: 0.432 0.135 0.769
Nd: 0.568 0.865 0.231
Nd: 0.865 0.568 0.231
Nd: 0.900 0.900 0.674
Te: 0.167 0.833 0.000
Te: 0.270 0.730 0.500
Te: 0.409 0.409 0.133
Te: 0.591 0.591 0.867
Te: 0.730 0.270 0.500
Te: 0.833 0.167 0.000
C: 0.160 0.160 0.644
C: 0.840 0.840 0.356


Record 2
The following is a simulated PXRD pattern of Sc2VInN. It was derived from a structure optimized by DFT (PBE), using Cu Kα, 1.54184 Å.
Neutral-atom scattering factors, no anomalous dispersion.

Principal peaks in the range 2θ = 10–90°, by angle:
| two_theta | I_rel |
| --- | --- |
| 29.8 | 18 |
| 36.0 | 100 |
| 39.8 | 46 |
| 45.5 | 15 |
| 62.0 | 22 |
| 69.8 | 26 |

Structure:
Unit cell a=4.529 b=4.529 c=3.989 alpha=90.00 beta=90.00 gamma=90.00
Sites, in units of the cell vectors:
Sc: 0.000 0.500 0.000
Sc: 0.500 0.000 0.000
V: 0.000 0.000 0.500
In: 0.500 0.500 0.500
N: 0.000 0.000 0.000


Record 3
The following is a simulated PXRD pattern of MgGaSn2. It was derived from a structure optimized by DFT (PBE), using Cu Kα, 1.54184 Å.
Neutral-atom scattering factors, no anomalous dispersion.

Principal peaks in the range 2θ = 10–90°, by angle:
| two_theta | I_rel |
| --- | --- |
| 19.5 | 21 |
| 27.6 | 18 |
| 34.0 | 100 |
| 39.4 | 34 |
| 57.1 | 23 |
| 68.0 | 27 |

Structure:
Unit cell a=4.574 b=4.574 c=4.555 alpha=90.00 beta=90.00 gamma=90.00
Sites, in units of the cell vectors:
Mg: 0.000 0.000 0.000
Ga: 0.500 0.500 0.000
Sn: 0.000 0.500 0.500
Sn: 0.500 0.000 0.500


Record 4
The following is a simulated PXRD pattern of BiOs. It was derived from a structure optimized by DFT (PBE), using Cu Kα, 1.54184 Å.
Neutral-atom scattering factors, no anomalous dispersion.

Principal peaks in the range 2θ = 10–90°, by angle:
| two_theta | I_rel |
| --- | --- |
| 11.8 | 100 |
| 27.3 | 29 |
| 30.3 | 36 |
| 37.4 | 37 |
| 41.2 | 33 |
| 43.8 | 31 |

Structure:
Unit cell a=10.643 b=10.643 c=4.132 alpha=90.00 beta=90.00 gamma=90.00
Sites, in units of the cell vectors:
Bi: 0.030 0.253 0.000
Bi: 0.238 0.659 0.500
Bi: 0.253 0.970 0.000
Bi: 0.341 0.238 0.500
Bi: 0.659 0.762 0.500
Bi: 0.747 0.030 0.000
Bi: 0.762 0.341 0.500
Bi: 0.970 0.747 0.000
Os: 0.121 0.518 0.000
Os: 0.151 0.401 0.500
Os: 0.401 0.849 0.500
Os: 0.482 0.121 0.000
Os: 0.518 0.879 0.000
Os: 0.599 0.151 0.500
Os: 0.849 0.599 0.500
Os: 0.879 0.482 0.000


Record 5
The following is a simulated PXRD pattern of Rb2Tb3AlF16. It was derived from a structure optimized by DFT (PBE), using Cu Kα, 1.54184 Å.
Neutral-atom scattering factors, no anomalous dispersion.

Principal peaks in the range 2θ = 10–90°, by angle:
| two_theta | I_rel |
| --- | --- |
| 13.9 | 62 |
| 24.7 | 36 |
| 26.8 | 48 |
| 27.3 | 100 |
| 44.5 | 38 |
| 46.5 | 34 |

Structure:
Unit cell a=7.806 b=7.806 c=12.764 alpha=90.00 beta=90.00 gamma=120.00
Sites, in units of the cell vectors:
Rb: 0.333 0.667 0.068
Rb: 0.333 0.667 0.432
Rb: 0.667 0.333 0.568
Rb: 0.667 0.333 0.932
Tb: 0.168 0.336 0.750
Tb: 0.168 0.832 0.750
Tb: 0.336 0.168 0.250
Tb: 0.664 0.832 0.750
Tb: 0.832 0.168 0.250
Tb: 0.832 0.664 0.250
Al: 0.000 0.000 0.000
Al: 0.000 0.000 0.500
F: 0.000 0.000 0.250
F: 0.000 0.000 0.750
F: 0.099 0.550 0.654
F: 0.099 0.550 0.846
F: 0.112 0.224 0.580
F: 0.112 0.224 0.920
F: 0.112 0.888 0.580
F: 0.112 0.888 0.920
F: 0.182 0.364 0.250
F: 0.182 0.818 0.250
F: 0.224 0.112 0.080
F: 0.224 0.112 0.420
F: 0.364 0.182 0.750
F: 0.450 0.550 0.654
F: 0.450 0.550 0.846
F: 0.450 0.901 0.654
F: 0.450 0.901 0.846
F: 0.550 0.099 0.154
F: 0.550 0.099 0.346
F: 0.550 0.450 0.154
F: 0.550 0.450 0.346
F: 0.636 0.818 0.250
F: 0.776 0.888 0.580
F: 0.776 0.888 0.920
F: 0.818 0.182 0.750
F: 0.818 0.636 0.750
F: 0.888 0.112 0.080
F: 0.888 0.112 0.420
F: 0.888 0.776 0.080
F: 0.888 0.776 0.420
F: 0.901 0.450 0.154
F: 0.901 0.450 0.346


Record 6
The following is a simulated PXRD pattern of PmH4. It was derived from a structure optimized by DFT (PBE), using Cu Kα, 1.54184 Å.
Neutral-atom scattering factors, no anomalous dispersion.

Principal peaks in the range 2θ = 10–90°, by angle:
| two_theta | I_rel |
| --- | --- |
| 21.8 | 90 |
| 27.6 | 47 |
| 27.9 | 100 |
| 30.2 | 77 |
| 31.3 | 38 |
| 40.4 | 35 |

Structure:
Unit cell a=6.619 b=3.867 c=4.728 alpha=90.00 beta=120.38 gamma=90.00
Sites, in units of the cell vectors:
Pm: 0.000 0.000 0.000
Pm: 0.500 0.500 0.000
H: 0.076 0.000 0.557
H: 0.118 0.500 0.867
H: 0.382 0.000 0.133
H: 0.424 0.500 0.443
H: 0.576 0.500 0.557
H: 0.618 0.000 0.867
H: 0.882 0.500 0.133
H: 0.924 0.000 0.443


Record 7
The following is a simulated PXRD pattern of Y2Er5Ru5. It was derived from a structure optimized by DFT (PBE), using Cu Kα, 1.54184 Å.
Neutral-atom scattering factors, no anomalous dispersion.

Principal peaks in the range 2θ = 10–90°, by angle:
| two_theta | I_rel |
| --- | --- |
| 13.3 | 18 |
| 31.1 | 27 |
| 32.8 | 24 |
| 36.4 | 35 |
| 37.5 | 100 |
| 38.3 | 19 |

Structure:
Unit cell a=4.792 b=4.792 c=13.594 alpha=100.09 beta=100.09 gamma=59.96
Sites, in units of the cell vectors:
Y: 0.072 0.072 0.216
Y: 0.928 0.928 0.784
Er: 0.214 0.214 0.643
Er: 0.310 0.310 0.929
Er: 0.500 0.500 0.500
Er: 0.690 0.690 0.071
Er: 0.786 0.786 0.357
Ru: 0.000 0.000 0.000
Ru: 0.145 0.145 0.435
Ru: 0.383 0.383 0.149
Ru: 0.617 0.617 0.851
Ru: 0.855 0.855 0.565


Record 8
The following is a simulated PXRD pattern of TbHo12In6. It was derived from a structure optimized by DFT (PBE), using Cu Kα, 1.54184 Å.
Neutral-atom scattering factors, no anomalous dispersion.

Principal peaks in the range 2θ = 10–90°, by angle:
| two_theta | I_rel |
| --- | --- |
| 27.3 | 46 |
| 28.0 | 100 |
| 33.0 | 53 |
| 33.5 | 28 |
| 33.9 | 45 |
| 40.9 | 45 |

Structure:
Unit cell a=8.823 b=8.823 c=8.823 alpha=103.67 beta=103.67 gamma=103.67
Sites, in units of the cell vectors:
Tb: 0.000 0.000 0.000
Ho: 0.123 0.500 0.877
Ho: 0.123 0.877 0.500
Ho: 0.178 0.443 0.443
Ho: 0.443 0.178 0.443
Ho: 0.443 0.443 0.178
Ho: 0.500 0.123 0.877
Ho: 0.500 0.877 0.123
Ho: 0.557 0.557 0.822
Ho: 0.557 0.822 0.557
Ho: 0.822 0.557 0.557
Ho: 0.877 0.123 0.500
Ho: 0.877 0.500 0.123
In: 0.245 0.245 0.700
In: 0.245 0.700 0.245
In: 0.300 0.755 0.755
In: 0.700 0.245 0.245
In: 0.755 0.300 0.755
In: 0.755 0.755 0.300


Repeat the second record exactly.
The following is a simulated PXRD pattern of Sc2VInN. It was derived from a structure optimized by DFT (PBE), using Cu Kα, 1.54184 Å.
Neutral-atom scattering factors, no anomalous dispersion.

Principal peaks in the range 2θ = 10–90°, by angle:
| two_theta | I_rel |
| --- | --- |
| 29.8 | 18 |
| 36.0 | 100 |
| 39.8 | 46 |
| 45.5 | 15 |
| 62.0 | 22 |
| 69.8 | 26 |

Structure:
Unit cell a=4.529 b=4.529 c=3.989 alpha=90.00 beta=90.00 gamma=90.00
Sites, in units of the cell vectors:
Sc: 0.000 0.500 0.000
Sc: 0.500 0.000 0.000
V: 0.000 0.000 0.500
In: 0.500 0.500 0.500
N: 0.000 0.000 0.000